Entry 1:
Diffraction record for Tl2H3Se2. The X-ray powder pattern is computed, not measured: it uses a cell relaxed with GGA-PBE and Cu Kα (weighted mean of Kα1 and Kα2).

Largest 12 diffraction maxima, by intensity, 10° ≤ 2θ ≤ 90°:
Position (°2θ)	Rel. int.
29.0	100.0
26.1	90.5
27.6	89.8
31.3	62.4
33.2	51.9
35.1	47.1
13.9	43.6
16.9	31.3
42.6	28.4
41.8	24.9
45.2	22.1
60.0	20.8

Atomic structure:
```
Tl2H3Se2
1.0
3.7221 0.0000 0.0000
-0.9789 6.4297 0.0000
-1.1638 -1.8852 6.3898
Tl H Se
2 3 2
Cartesian
0.0218 1.0030 2.3647
1.5577 3.5415 4.0251
0.5784 5.2237 0.6781
1.3716 3.2149 0.0000
1.0011 -0.6792 5.7117
-0.3252 -0.0615 5.4059
1.9047 4.6059 0.9838
```



Entry 2:
Diffraction record for Tl3H4Se4. The X-ray powder pattern is computed, not measured: it uses a cell relaxed with GGA-PBE and Cu Kα (weighted mean of Kα1 and Kα2).

Largest 12 diffraction maxima, by intensity, 10° ≤ 2θ ≤ 90°:
Position (°2θ)	Rel. int.
25.4	100.0
24.0	89.5
24.7	58.3
19.3	52.5
33.7	39.1
34.2	33.7
32.1	33.6
27.9	32.8
37.3	32.6
18.8	32.3
41.7	29.2
39.5	28.9

Atomic structure:
```
Tl3H4Se4
1.0
4.5233 0.0000 0.0000
1.8683 4.6384 0.0000
1.5862 1.6147 14.1386
Tl H Se
3 4 4
Cartesian
0.0000 0.0000 0.0000
1.6707 0.8613 5.9845
3.1321 1.2198 10.0649
2.5420 3.6170 8.0132
4.0060 3.0540 5.0131
4.1371 2.4732 1.0482
6.6242 4.2404 11.7523
3.4809 3.8658 12.1622
4.0707 3.7307 1.8443
3.9383 1.8167 4.1837
5.7249 2.9934 8.1940
```



Entry 3:
Diffraction record for Tl7H12Se. The X-ray powder pattern is computed, not measured: it uses a cell relaxed with GGA-PBE and Cu Kα (weighted mean of Kα1 and Kα2).

Largest 12 diffraction maxima, by intensity, 10° ≤ 2θ ≤ 90°:
Position (°2θ)	Rel. int.
16.3	100.0
34.3	81.2
14.1	64.2
29.2	61.6
31.3	51.1
32.8	43.4
33.4	36.3
32.9	31.5
34.5	30.2
34.9	29.9
35.1	29.6
12.8	28.5

Atomic structure:
```
Tl7H12Se
1.0
6.5234 0.0000 0.0000
-1.6429 7.8223 0.0000
-0.6598 -3.8056 7.1100
Tl H Se
7 12 1
Cartesian
0.0000 0.0000 0.0000
1.1189 -1.3612 5.8714
1.7918 -0.9221 2.6743
1.7900 2.3115 1.9735
2.4307 1.7052 5.1365
2.4290 4.9388 4.4357
3.1018 5.3779 1.2386
-1.1981 3.6991 3.8174
-0.7451 1.4375 5.3059
-0.5003 4.7561 0.9146
-0.4859 3.5542 3.6021
0.0736 4.2629 0.8326
-0.4445 1.9795 5.7401
4.6653 2.0372 1.3699
4.1471 -0.2462 6.2774
4.7066 0.4625 3.5079
4.7210 -0.7394 6.1954
4.9658 2.5792 1.8040
5.4188 0.3177 3.2926
3.2617 0.0000 0.0000
```



Entry 4:
Diffraction record for UH6Se2. The X-ray powder pattern is computed, not measured: it uses a cell relaxed with GGA-PBE and Cu Kα (weighted mean of Kα1 and Kα2).

Largest 12 diffraction maxima, by intensity, 10° ≤ 2θ ≤ 90°:
Position (°2θ)	Rel. int.
14.9	100.0
31.1	42.6
28.4	31.3
22.2	24.4
14.2	23.8
40.1	21.1
42.7	18.9
38.0	18.2
39.2	15.0
35.4	14.2
52.6	13.7
43.4	9.9

Atomic structure:
```
UH6Se2
1.0
6.0223 0.0000 0.0000
0.0000 3.6327 0.0000
-0.9815 0.0000 6.2518
U H Se
1 6 2
Cartesian
0.0000 0.0000 0.0000
1.2147 1.8164 0.3074
1.7187 0.3888 1.6484
1.7187 3.2440 1.6484
3.3221 0.3888 4.6034
3.3221 3.2440 4.6034
3.8261 1.8164 5.9444
0.0375 1.8164 4.2577
5.0033 1.8164 1.9941
```



Entry 5:
Diffraction record for UH2Se2. The X-ray powder pattern is computed, not measured: it uses a cell relaxed with GGA-PBE and Cu Kα (weighted mean of Kα1 and Kα2).

Largest 12 diffraction maxima, by intensity, 10° ≤ 2θ ≤ 90°:
Position (°2θ)	Rel. int.
10.3	100.0
31.8	43.8
27.5	30.9
44.4	17.3
46.9	15.1
48.2	14.7
38.8	14.5
36.3	14.4
57.8	8.1
73.8	7.9
77.5	7.1
53.8	6.2

Atomic structure:
```
UH2Se2
1.0
1.9370 1.1183 8.5736
-1.9370 1.1183 8.5736
0.0000 -2.2366 8.5736
U H Se
1 2 2
Cartesian
0.0000 0.0000 0.0000
0.0000 0.0000 4.2725
0.0000 0.0000 21.4483
0.0000 0.0000 10.2357
0.0000 0.0000 15.4850
```



Entry 6:
Diffraction record for VHSe. The X-ray powder pattern is computed, not measured: it uses a cell relaxed with GGA-PBE and Cu Kα (weighted mean of Kα1 and Kα2).

Largest 12 diffraction maxima, by intensity, 10° ≤ 2θ ≤ 90°:
Position (°2θ)	Rel. int.
10.3	100.0
30.3	10.2
30.8	9.3
27.7	8.7
28.0	8.1
41.5	7.5
41.2	7.2
41.0	7.0
40.7	6.8
46.9	6.6
48.3	6.1
53.9	5.6

Atomic structure:
```
VHSe
1.0
3.4008 0.0000 0.0000
-0.0043 3.8728 0.0000
-1.5448 -1.8369 8.5760
V H Se
2 2 2
Cartesian
0.0000 0.0000 0.0000
0.1537 0.0981 8.2950
1.5641 -0.1795 4.3532
1.9974 0.2723 3.9362
-0.0012 1.9370 1.5534
0.1508 2.0339 6.7416
```



Entry 7:
Diffraction record for V2H3Se6. The X-ray powder pattern is computed, not measured: it uses a cell relaxed with GGA-PBE and Cu Kα (weighted mean of Kα1 and Kα2).

Largest 12 diffraction maxima, by intensity, 10° ≤ 2θ ≤ 90°:
Position (°2θ)	Rel. int.
14.0	100.0
31.3	83.6
28.3	75.3
32.0	73.3
32.5	71.3
30.9	68.6
34.6	58.8
30.4	48.6
39.1	36.0
49.6	34.3
50.8	32.0
50.9	29.3

Atomic structure:
```
V2H3Se6
1.0
6.1898 0.0000 0.0000
3.0895 5.5134 0.0000
1.0691 -0.2257 12.6214
V H Se
4 6 12
Cartesian
2.0337 0.4985 6.2402
5.4482 4.5263 12.6179
4.9002 0.7614 0.0035
8.3147 4.7892 6.3812
2.2777 2.6791 3.7432
3.0065 0.1024 2.6085
4.8388 2.7429 2.5854
5.5096 2.5447 10.0360
7.3419 5.1853 10.0130
8.0707 2.6085 8.8782
1.5729 0.6301 11.0915
4.0269 4.5598 7.8138
3.0449 2.6345 5.0274
2.6542 0.9043 1.3820
4.6956 2.4550 11.2860
3.9979 0.7540 7.7569
6.3505 4.5336 4.8645
5.6528 2.8326 1.3354
7.6942 4.3834 11.2395
7.3035 2.6532 7.5940
6.3215 0.7278 4.8077
8.7755 4.6576 1.5299
```



Entry 8:
Diffraction record for YHSe2. The X-ray powder pattern is computed, not measured: it uses a cell relaxed with GGA-PBE and Cu Kα (weighted mean of Kα1 and Kα2).

Largest 12 diffraction maxima, by intensity, 10° ≤ 2θ ≤ 90°:
Position (°2θ)	Rel. int.
29.5	100.0
24.8	68.8
41.9	62.7
39.7	59.4
38.7	56.5
32.1	53.1
35.5	48.1
44.1	41.6
21.5	40.8
46.6	34.0
19.1	31.1
38.0	28.2

Atomic structure:
```
YHSe2
1.0
9.3005 0.0000 0.0000
0.0000 3.9840 0.0000
-4.5475 0.0000 9.3074
Y H Se
4 4 8
Cartesian
0.0817 0.2620 3.1007
-2.1920 1.7300 7.7544
6.9451 2.2540 1.5530
4.6714 3.7220 6.2067
-0.9483 2.2506 3.1607
-3.2221 3.7254 7.8144
7.9752 0.2586 1.4929
5.7014 1.7334 6.1466
1.0453 2.2400 1.1278
-1.2284 3.7360 5.7815
2.2013 2.3379 3.3004
-0.0724 3.6381 7.9541
4.8255 0.3459 1.3532
2.5517 1.6461 6.0069
5.9815 0.2480 3.5258
3.7077 1.7440 8.1795
```



Entry 9:
Diffraction record for YHSe2. The X-ray powder pattern is computed, not measured: it uses a cell relaxed with GGA-PBE and Cu Kα (weighted mean of Kα1 and Kα2).

Largest 12 diffraction maxima, by intensity, 10° ≤ 2θ ≤ 90°:
Position (°2θ)	Rel. int.
13.1	100.0
33.0	84.8
25.8	70.7
32.2	48.6
41.9	41.9
25.1	26.8
42.7	26.3
39.4	25.5
51.2	24.0
54.4	21.3
39.7	13.7
54.3	13.6

Atomic structure:
```
YHSe2
1.0
7.1608 0.0000 0.0000
0.0000 4.2396 0.0000
-2.4801 0.0000 7.0825
Y H Se
2 2 4
Cartesian
-0.4830 1.0599 1.6012
5.1638 3.1797 5.4813
1.2623 1.0599 5.1402
3.4184 3.1797 1.9422
-0.1417 1.0599 4.5509
1.2976 3.1797 1.0870
3.3831 1.0599 5.9954
4.8225 3.1797 2.5316
```



Entry 10:
Diffraction record for Zr4HSe5. The X-ray powder pattern is computed, not measured: it uses a cell relaxed with GGA-PBE and Cu Kα (weighted mean of Kα1 and Kα2).

Largest 12 diffraction maxima, by intensity, 10° ≤ 2θ ≤ 90°:
Position (°2θ)	Rel. int.
34.6	100.0
33.6	72.8
49.4	50.2
48.6	37.8
30.8	23.0
61.6	18.9
50.0	18.0
18.2	15.8
70.7	12.4
25.0	12.1
39.6	11.3
61.8	9.8

Atomic structure:
```
Zr4HSe5
1.0
8.1673 -1.8238 0.0000
8.1673 1.8238 0.0000
-1.5087 0.0000 7.2203
Zr H Se
4 1 5
Cartesian
-0.3380 0.0000 1.6327
15.1638 0.0000 5.5876
4.0727 0.0000 6.6286
10.7532 0.0000 0.5917
8.1673 0.0000 0.0000
2.1713 0.0000 2.4811
1.5323 0.0000 5.8339
7.4129 0.0000 3.6101
13.2935 0.0000 1.3864
12.6545 0.0000 4.7392
```